Record 1
This entry pairs a crystal structure of Nb4Ag2O11 with its simulated powder XRD pattern. Radiation: Cu Kα, 1.54184 Å. Structure: a cell relaxed with GGA-PBE.
Peak positions follow from Bragg's law for the DFT cell and can differ from measured ones.

```
data_Nb4Ag2O11
_chemical_formula_sum 'Nb8 Ag4 O22'
_symmetry_space_group_name_H-M 'P 1'
_symmetry_Int_Tables_number 1
_symmetry_space_group_name_Hall 'P 1'
_cell_length_a 13.189
_cell_length_b 13.189
_cell_length_c 13.189
_cell_angle_alpha 27.57
_cell_angle_beta 27.57
_cell_angle_gamma 27.57
loop_
_atom_site_label
_atom_site_fract_x
_atom_site_fract_y
_atom_site_fract_z
Nb1 0.000 0.000 0.000
Nb2 0.114 0.385 0.743
Nb3 0.242 0.883 0.616
Nb4 0.385 0.743 0.114
Nb5 0.500 0.500 0.500
Nb6 0.616 0.242 0.883
Nb7 0.743 0.114 0.385
Nb8 0.883 0.616 0.242
Ag1 0.169 0.169 0.169
Ag2 0.327 0.327 0.327
Ag3 0.666 0.666 0.666
Ag4 0.825 0.825 0.825
O1 0.056 0.273 0.745
O2 0.086 0.086 0.086
O3 0.219 0.431 0.739
O4 0.240 0.926 0.722
O5 0.246 0.495 0.993
O6 0.247 0.779 0.546
O7 0.273 0.745 0.056
O8 0.401 0.401 0.401
O9 0.431 0.739 0.219
O10 0.495 0.993 0.246
O11 0.495 0.993 0.747
O12 0.546 0.247 0.779
O13 0.585 0.585 0.585
O14 0.722 0.240 0.926
O15 0.739 0.219 0.431
O16 0.745 0.056 0.273
O17 0.747 0.495 0.993
O18 0.779 0.546 0.247
O19 0.899 0.899 0.899
O20 0.926 0.722 0.240
O21 0.993 0.246 0.495
O22 0.993 0.747 0.495
```

Most intense lines, 5° ≤ 2θ ≤ 70°, in order of rising 2θ:
2θ 28.2, I 46
2θ 28.4, I 10
2θ 29.3, I 40
2θ 31.8, I 100
2θ 40.4, I 11
2θ 46.0, I 10
2θ 50.3, I 31
2θ 52.2, I 27
2θ 58.6, I 29
2θ 60.7, I 14

Record 2
This entry pairs a crystal structure of Nb4Ag2O11 with its simulated powder XRD pattern. Radiation: Cu Kα, 1.54184 Å. Structure: a cell relaxed with GGA-PBE.
Peak positions follow from Bragg's law for the DFT cell and can differ from measured ones.

```
data_Nb4Ag2O11
_chemical_formula_sum 'Nb8 Ag4 O22'
_symmetry_space_group_name_H-M 'P 1'
_symmetry_Int_Tables_number 1
_symmetry_space_group_name_Hall 'P 1'
_cell_length_a 13.044
_cell_length_b 13.044
_cell_length_c 13.044
_cell_angle_alpha 27.95
_cell_angle_beta 27.95
_cell_angle_gamma 27.95
loop_
_atom_site_label
_atom_site_fract_x
_atom_site_fract_y
_atom_site_fract_z
Nb1 0.000 0.000 0.000
Nb2 0.114 0.750 0.386
Nb3 0.250 0.614 0.886
Nb4 0.386 0.114 0.750
Nb5 0.500 0.500 0.500
Nb6 0.614 0.886 0.250
Nb7 0.750 0.386 0.114
Nb8 0.886 0.250 0.614
Ag1 0.171 0.171 0.171
Ag2 0.329 0.329 0.329
Ag3 0.671 0.671 0.671
Ag4 0.829 0.829 0.829
O1 0.001 0.499 0.250
O2 0.064 0.755 0.274
O3 0.093 0.093 0.093
O4 0.226 0.745 0.436
O5 0.245 0.726 0.936
O6 0.250 0.001 0.499
O7 0.255 0.564 0.774
O8 0.274 0.064 0.755
O9 0.407 0.407 0.407
O10 0.436 0.226 0.745
O11 0.499 0.250 0.001
O12 0.501 0.750 0.999
O13 0.564 0.774 0.255
O14 0.593 0.593 0.593
O15 0.726 0.936 0.245
O16 0.745 0.436 0.226
O17 0.750 0.999 0.501
O18 0.755 0.274 0.064
O19 0.774 0.255 0.564
O20 0.907 0.907 0.907
O21 0.936 0.245 0.726
O22 0.999 0.501 0.750
```

Most intense lines, 5° ≤ 2θ ≤ 70°, in order of rising 2θ:
2θ 28.3, I 10
2θ 28.5, I 44
2θ 29.2, I 41
2θ 31.8, I 100
2θ 40.6, I 11
2θ 46.3, I 9
2θ 50.2, I 32
2θ 52.6, I 27
2θ 58.7, I 31
2θ 60.6, I 14

Record 3
This entry pairs a crystal structure of NbAgO3 with its simulated powder XRD pattern. Radiation: Cu Kα, 1.54184 Å. Structure: a cell relaxed with GGA-PBE.
Peak positions follow from Bragg's law for the DFT cell and can differ from measured ones.

```
data_NbAgO3
_chemical_formula_sum 'Nb2 Ag2 O6'
_symmetry_space_group_name_H-M 'P 1'
_symmetry_Int_Tables_number 1
_symmetry_space_group_name_Hall 'P 1'
_cell_length_a 5.633
_cell_length_b 5.633
_cell_length_c 4.032
_cell_angle_alpha 90.00
_cell_angle_beta 90.00
_cell_angle_gamma 90.00
loop_
_atom_site_label
_atom_site_fract_x
_atom_site_fract_y
_atom_site_fract_z
Nb1 0.000 0.000 0.000
Nb2 0.500 0.500 0.000
Ag1 0.000 0.500 0.500
Ag2 0.500 0.000 0.500
O1 0.000 0.000 0.500
O2 0.204 0.296 0.000
O3 0.296 0.796 0.000
O4 0.500 0.500 0.500
O5 0.704 0.204 0.000
O6 0.796 0.704 0.000
```

Most intense lines, 5° ≤ 2θ ≤ 70°, in order of rising 2θ:
2θ 31.6, I 100
2θ 31.8, I 54
2θ 39.0, I 6
2θ 42.3, I 1
2θ 45.0, I 17
2θ 45.5, I 30
2θ 56.1, I 21
2θ 56.5, I 41
2θ 65.9, I 18
2θ 66.4, I 8

Record 4
This entry pairs a crystal structure of NbAgO3 with its simulated powder XRD pattern. Radiation: Cu Kα, 1.54184 Å. Structure: a cell relaxed with GGA-PBE.
Peak positions follow from Bragg's law for the DFT cell and can differ from measured ones.

```
data_NbAgO3
_chemical_formula_sum 'Nb8 Ag8 O24'
_symmetry_space_group_name_H-M 'P 1'
_symmetry_Int_Tables_number 1
_symmetry_space_group_name_Hall 'P 1'
_cell_length_a 15.766
_cell_length_b 5.662
_cell_length_c 5.767
_cell_angle_alpha 90.00
_cell_angle_beta 90.00
_cell_angle_gamma 90.00
loop_
_atom_site_label
_atom_site_fract_x
_atom_site_fract_y
_atom_site_fract_z
Nb1 0.125 0.244 0.000
Nb2 0.125 0.756 0.500
Nb3 0.375 0.245 0.934
Nb4 0.375 0.755 0.434
Nb5 0.625 0.245 0.934
Nb6 0.625 0.755 0.434
Nb7 0.875 0.244 0.000
Nb8 0.875 0.756 0.500
Ag1 0.000 0.259 0.490
Ag2 0.000 0.741 0.990
Ag3 0.250 0.256 0.463
Ag4 0.250 0.744 0.963
Ag5 0.500 0.259 0.442
Ag6 0.500 0.741 0.942
Ag7 0.750 0.256 0.463
Ag8 0.750 0.744 0.963
O1 0.000 0.199 0.941
O2 0.000 0.801 0.441
O3 0.110 0.457 0.249
O4 0.110 0.543 0.749
O5 0.141 0.040 0.672
O6 0.141 0.960 0.172
O7 0.250 0.316 0.966
O8 0.250 0.684 0.466
O9 0.358 0.029 0.249
O10 0.358 0.971 0.749
O11 0.392 0.470 0.694
O12 0.392 0.530 0.194
O13 0.500 0.184 0.987
O14 0.500 0.816 0.487
O15 0.608 0.470 0.694
O16 0.608 0.530 0.194
O17 0.642 0.029 0.249
O18 0.642 0.971 0.749
O19 0.750 0.316 0.966
O20 0.750 0.684 0.466
O21 0.859 0.040 0.672
O22 0.859 0.960 0.172
O23 0.890 0.457 0.249
O24 0.890 0.543 0.749
```

Most intense lines, 5° ≤ 2θ ≤ 70°, in order of rising 2θ:
2θ 31.0, I 25
2θ 31.6, I 28
2θ 31.7, I 100
2θ 44.9, I 28
2θ 46.1, I 15
2θ 55.6, I 17
2θ 56.4, I 21
2θ 56.6, I 10
2θ 56.9, I 10
2θ 66.3, I 15

Record 5
This entry pairs a crystal structure of NbAgO3 with its simulated powder XRD pattern. Radiation: Cu Kα, 1.54184 Å. Structure: a cell relaxed with GGA-PBE.
Peak positions follow from Bragg's law for the DFT cell and can differ from measured ones.

```
data_NbAgO3
_chemical_formula_sum 'Nb8 Ag8 O24'
_symmetry_space_group_name_H-M 'P 1'
_symmetry_Int_Tables_number 1
_symmetry_space_group_name_Hall 'P 1'
_cell_length_a 5.671
_cell_length_b 5.748
_cell_length_c 15.763
_cell_angle_alpha 90.00
_cell_angle_beta 90.00
_cell_angle_gamma 90.00
loop_
_atom_site_label
_atom_site_fract_x
_atom_site_fract_y
_atom_site_fract_z
Nb1 0.242 0.215 0.125
Nb2 0.242 0.215 0.375
Nb3 0.242 0.285 0.625
Nb4 0.242 0.285 0.875
Nb5 0.758 0.715 0.125
Nb6 0.758 0.715 0.375
Nb7 0.758 0.785 0.625
Nb8 0.758 0.785 0.875
Ag1 0.260 0.750 0.000
Ag2 0.260 0.750 0.500
Ag3 0.265 0.716 0.250
Ag4 0.265 0.784 0.750
Ag5 0.735 0.216 0.250
Ag6 0.735 0.284 0.750
Ag7 0.740 0.250 0.000
Ag8 0.740 0.250 0.500
O1 0.041 0.543 0.110
O2 0.041 0.543 0.390
O3 0.041 0.957 0.610
O4 0.041 0.957 0.890
O5 0.195 0.226 0.750
O6 0.195 0.274 0.250
O7 0.311 0.250 0.000
O8 0.311 0.250 0.500
O9 0.454 0.538 0.640
O10 0.454 0.538 0.860
O11 0.454 0.962 0.140
O12 0.454 0.962 0.360
O13 0.546 0.038 0.640
O14 0.546 0.038 0.860
O15 0.546 0.462 0.140
O16 0.546 0.462 0.360
O17 0.689 0.750 0.000
O18 0.689 0.750 0.500
O19 0.805 0.726 0.750
O20 0.805 0.774 0.250
O21 0.959 0.043 0.110
O22 0.959 0.043 0.390
O23 0.959 0.457 0.610
O24 0.959 0.457 0.890
```

Most intense lines, 5° ≤ 2θ ≤ 70°, in order of rising 2θ:
2θ 31.1, I 25
2θ 31.6, I 30
2θ 31.7, I 100
2θ 44.9, I 27
2θ 46.1, I 15
2θ 55.8, I 16
2θ 56.3, I 21
2θ 56.6, I 9
2θ 56.9, I 10
2θ 66.3, I 15

Record 6
This entry pairs a crystal structure of TaNbAg2O6 with its simulated powder XRD pattern. Radiation: Cu Kα, 1.54184 Å. Structure: a cell relaxed with GGA-PBE.
Peak positions follow from Bragg's law for the DFT cell and can differ from measured ones.

```
data_TaNbAg2O6
_chemical_formula_sum 'Ta1 Nb1 Ag2 O6'
_symmetry_space_group_name_H-M 'P 1'
_symmetry_Int_Tables_number 1
_symmetry_space_group_name_Hall 'P 1'
_cell_length_a 4.009
_cell_length_b 4.009
_cell_length_c 8.022
_cell_angle_alpha 90.00
_cell_angle_beta 90.00
_cell_angle_gamma 90.00
loop_
_atom_site_label
_atom_site_fract_x
_atom_site_fract_y
_atom_site_fract_z
Ta1 0.000 0.000 0.000
Nb1 0.000 0.000 0.500
Ag1 0.500 0.500 0.250
Ag2 0.500 0.500 0.750
O1 0.000 0.000 0.249
O2 0.000 0.000 0.751
O3 0.000 0.500 0.000
O4 0.000 0.500 0.500
O5 0.500 0.000 0.000
O6 0.500 0.000 0.500
```

Most intense lines, 5° ≤ 2θ ≤ 70°, in order of rising 2θ:
2θ 11.0, I 6
2θ 22.2, I 4
2θ 24.8, I 4
2θ 31.6, I 100
2θ 33.5, I 2
2θ 45.2, I 29
2θ 46.7, I 1
2θ 50.9, I 2
2θ 56.2, I 39
2θ 65.9, I 18

Record 7
This entry pairs a crystal structure of TaNbAg2O6 with its simulated powder XRD pattern. Radiation: Cu Kα, 1.54184 Å. Structure: a cell relaxed with GGA-PBE.
Peak positions follow from Bragg's law for the DFT cell and can differ from measured ones.

```
data_TaNbAg2O6
_chemical_formula_sum 'Ta4 Nb4 Ag8 O24'
_symmetry_space_group_name_H-M 'P 1'
_symmetry_Int_Tables_number 1
_symmetry_space_group_name_Hall 'P 1'
_cell_length_a 5.687
_cell_length_b 15.852
_cell_length_c 5.614
_cell_angle_alpha 90.00
_cell_angle_beta 90.00
_cell_angle_gamma 90.00
loop_
_atom_site_label
_atom_site_fract_x
_atom_site_fract_y
_atom_site_fract_z
Ta1 0.019 0.125 0.253
Ta2 0.481 0.625 0.747
Ta3 0.519 0.375 0.747
Ta4 0.981 0.875 0.253
Nb1 0.019 0.375 0.253
Nb2 0.481 0.875 0.747
Nb3 0.519 0.125 0.747
Nb4 0.981 0.625 0.253
Ag1 0.000 0.000 0.748
Ag2 0.000 0.500 0.750
Ag3 0.013 0.250 0.753
Ag4 0.487 0.750 0.247
Ag5 0.500 0.000 0.250
Ag6 0.500 0.500 0.252
Ag7 0.513 0.250 0.247
Ag8 0.987 0.750 0.753
O1 0.000 0.000 0.193
O2 0.000 0.500 0.192
O3 0.018 0.751 0.308
O4 0.213 0.111 0.532
O5 0.215 0.389 0.534
O6 0.222 0.860 0.968
O7 0.224 0.640 0.966
O8 0.276 0.140 0.034
O9 0.278 0.360 0.032
O10 0.285 0.889 0.466
O11 0.287 0.611 0.468
O12 0.482 0.251 0.692
O13 0.500 0.000 0.808
O14 0.500 0.500 0.807
O15 0.518 0.749 0.692
O16 0.713 0.389 0.468
O17 0.715 0.111 0.466
O18 0.722 0.640 0.032
O19 0.724 0.860 0.034
O20 0.776 0.360 0.966
O21 0.778 0.140 0.968
O22 0.785 0.611 0.534
O23 0.787 0.889 0.532
O24 0.982 0.249 0.308
```

Most intense lines, 5° ≤ 2θ ≤ 70°, in order of rising 2θ:
2θ 31.5, I 20
2θ 31.8, I 100
2θ 45.4, I 22
2θ 45.8, I 12
2θ 56.2, I 15
2θ 56.6, I 8
2θ 56.8, I 17
2θ 56.9, I 8
2θ 66.5, I 13
2θ 66.6, I 3

Record 8
This entry pairs a crystal structure of RbNb4AgP2S20 with its simulated powder XRD pattern. Radiation: Cu Kα, 1.54184 Å. Structure: a cell relaxed with GGA-PBE.
Peak positions follow from Bragg's law for the DFT cell and can differ from measured ones.

```
data_RbNb4AgP2S20
_chemical_formula_sum 'Rb1 Nb4 Ag1 P2 S20'
_symmetry_space_group_name_H-M 'P 1'
_symmetry_Int_Tables_number 1
_symmetry_space_group_name_Hall 'P 1'
_cell_length_a 7.408
_cell_length_b 7.538
_cell_length_c 13.038
_cell_angle_alpha 89.47
_cell_angle_beta 76.53
_cell_angle_gamma 87.91
loop_
_atom_site_label
_atom_site_fract_x
_atom_site_fract_y
_atom_site_fract_z
Rb1 0.000 0.000 0.000
Nb1 0.442 0.432 0.665
Nb2 0.443 0.430 0.957
Nb3 0.443 0.566 0.166
Nb4 0.446 0.566 0.455
Ag1 0.947 0.998 0.559
P1 0.235 0.881 0.338
P2 0.650 0.117 0.783
S1 0.002 0.035 0.368
S2 0.167 0.577 0.610
S3 0.169 0.578 0.083
S4 0.192 0.607 0.344
S5 0.199 0.390 0.843
S6 0.232 0.329 0.129
S7 0.237 0.329 0.549
S8 0.316 0.633 0.828
S9 0.383 0.909 0.184
S10 0.393 0.907 0.446
S11 0.492 0.089 0.675
S12 0.506 0.086 0.938
S13 0.572 0.364 0.294
S14 0.651 0.668 0.571
S15 0.654 0.664 0.994
S16 0.688 0.608 0.278
S17 0.695 0.390 0.778
S18 0.716 0.416 0.041
S19 0.720 0.419 0.511
S20 0.884 0.961 0.752
```

Most intense lines, 5° ≤ 2θ ≤ 70°, in order of rising 2θ:
2θ 11.7, I 51
2θ 12.3, I 77
2θ 13.7, I 38
2θ 14.0, I 22
2θ 16.7, I 100
2θ 17.0, I 29
2θ 17.3, I 63
2θ 23.6, I 52
2θ 33.4, I 38
2θ 41.6, I 40

Record 9
This entry pairs a crystal structure of Rb2NbAgSe4 with its simulated powder XRD pattern. Radiation: Cu Kα, 1.54184 Å. Structure: a cell relaxed with GGA-PBE.
Peak positions follow from Bragg's law for the DFT cell and can differ from measured ones.

```
data_Rb2NbAgSe4
_chemical_formula_sum 'Rb4 Nb2 Ag2 Se8'
_symmetry_space_group_name_H-M 'P 1'
_symmetry_Int_Tables_number 1
_symmetry_space_group_name_Hall 'P 1'
_cell_length_a 6.156
_cell_length_b 7.815
_cell_length_c 12.842
_cell_angle_alpha 84.58
_cell_angle_beta 76.13
_cell_angle_gamma 66.81
loop_
_atom_site_label
_atom_site_fract_x
_atom_site_fract_y
_atom_site_fract_z
Rb1 0.000 0.000 0.000
Rb2 0.099 0.503 0.777
Rb3 0.360 0.005 0.272
Rb4 0.745 0.498 0.500
Nb1 0.168 0.005 0.639
Nb2 0.918 0.505 0.137
Ag1 0.421 0.503 0.140
Ag2 0.678 0.005 0.632
Se1 0.116 0.796 0.524
Se2 0.304 0.302 0.026
Se3 0.353 0.212 0.521
Se4 0.439 0.802 0.747
Se5 0.656 0.707 0.020
Se6 0.749 0.306 0.254
Se7 0.793 0.208 0.754
Se8 0.978 0.708 0.252
```

Most intense lines, 5° ≤ 2θ ≤ 70°, in order of rising 2θ:
2θ 14.2, I 100
2θ 24.8, I 52
2θ 25.9, I 95
2θ 29.7, I 58
2θ 31.6, I 24
2θ 36.3, I 51
2θ 39.2, I 24
2θ 43.6, I 28
2θ 46.9, I 26
2θ 48.1, I 30